For In2Pt3Au, a structure optimized by DFT (PBE) gives the computed PXRD pattern in this record (Cu Ka).

Main lines, in order of rising 2θ (10 to 90 degrees two-theta):
d = 3.621 Å, I 18, (1 2 1); d = 3.543 Å, I 50, (2 0 0); d = 2.381 Å, I 18, (2 4 0); d = 2.220 Å, I 100, (1 3 2); d = 2.144 Å, I 24, (0 6 0); d = 2.069 Å, I 18, (3 3 0)

Structural model:
a = 7.0859 Å, b = 12.8626 Å, c = 5.5767 Å
α = 90.00°, β = 90.00°, γ = 90.00°
Space group Ibam (No. 72)
Unique sites:
1 In 0.1676 0.1552 0.0000
2 Pt 0.0000 0.0000 0.2500
3 Pt 0.0000 0.3133 0.2500
4 Au 0.0000 0.5000 0.0000



For Pr5Dy3Sb8, a structure optimized by DFT (PBE) gives the computed PXRD pattern in this record (Cu Ka).

Main lines, in order of rising 2θ (10 to 90 degrees two-theta):
d = 3.178 Å, I 100, (0 2 4); d = 2.247 Å, I 76, (2 2 0); d = 1.835 Å, I 27, (4 0 4); d = 1.589 Å, I 13, (0 4 8); d = 1.421 Å, I 35, (2 4 4); d = 1.297 Å, I 26, (6 0 0)

Structural model:
a = 8.9915 Å, b = 8.9915 Å, c = 22.0071 Å
α = 90.00°, β = 90.00°, γ = 120.00°
Space group R-3m (No. 166, hexagonal axes)
Unique sites:
1 Pr 0.0000 0.0000 0.0000
2 Pr 0.0000 0.0000 0.5000
3 Pr 0.0000 0.5000 0.0000
4 Dy 0.0000 0.5000 0.5000
5 Sb 0.0000 0.0000 0.2463
6 Sb 0.0049 0.5025 0.7525



For Ca3SmPu2N6, a structure optimized by DFT (PBE) gives the computed PXRD pattern in this record (Cu Ka).

Main lines, in order of rising 2θ (10 to 90 degrees two-theta):
d = 5.710 Å, I 99, (2 0 -1); d = 3.001 Å, I 40, (1 1 1); d = 2.865 Å, I 100, (2 0 2); d = 2.487 Å, I 70, (1 1 -2); d = 2.464 Å, I 34, (6 0 0); d = 1.753 Å, I 35, (5 1 2)

Structural model:
a = 15.1856 Å, b = 3.5235 Å, c = 7.0201 Å
α = 90.00°, β = 103.20°, γ = 90.00°
Space group C2/m (No. 12)
Unique sites:
1 Ca 0.0000 0.0000 0.0000
2 Ca 0.1675 0.5000 0.3323
3 Sm 0.0000 0.0000 0.5000
4 Pu 0.1664 0.5000 0.8319
5 N 0.0156 0.5000 0.7542
6 N 0.1662 0.0000 0.6117
7 N 0.1781 0.0000 0.0655



For SmTm8Sc6, a structure optimized by DFT (PBE) gives the computed PXRD pattern in this record (Cu Ka).

Main lines, in order of rising 2θ (10 to 90 degrees two-theta):
d = 5.755 Å, I 23, (0 0 3); d = 3.171 Å, I 27, (0 1 5); d = 2.985 Å, I 47, (3 -1 1); d = 2.860 Å, I 100, (1 2 2); d = 2.481 Å, I 41, (3 -1 4); d = 1.750 Å, I 26, (4 1 0)

Structural model:
a = 9.2602 Å, b = 9.2602 Å, c = 17.2643 Å
α = 90.00°, β = 90.00°, γ = 120.00°
Space group R-3 (No. 148, hexagonal axes)
Unique sites:
1 Sm 0.0000 0.0000 0.0000
2 Tm 0.0000 0.0000 0.4109
3 Tm 0.0536 0.8099 0.1741
4 Sc 0.0298 0.7399 0.6803



For BaMg2Hg, a structure optimized by DFT (PBE) gives the computed PXRD pattern in this record (Cu Ka).

Main lines, in order of rising 2θ (10 to 90 degrees two-theta):
d = 6.854 Å, I 84, (0 0 1); d = 3.911 Å, I 57, (0 1 1); d = 2.972 Å, I 64, (1 0 -2); d = 2.952 Å, I 100, (1 1 0); d = 2.782 Å, I 62, (0 1 2); d = 1.858 Å, I 33, (1 2 -2)

Structural model:
a = 3.9121 Å, b = 4.7629 Å, c = 7.1271 Å
α = 90.00°, β = 105.92°, γ = 90.00°
Space group Pm (No. 6)
Unique sites:
1 Ba 0.0000 0.0000 0.0000
2 Mg 0.3078 0.5000 0.6130
3 Mg 0.7431 0.0000 0.4796
4 Hg 0.6251 0.5000 0.2528



For Ce5Ge2Rh, a structure optimized by DFT (PBE) gives the computed PXRD pattern in this record (Cu Ka).

Main lines, in order of rising 2θ (10 to 90 degrees two-theta):
d = 2.828 Å, I 87, (1 2 2); d = 2.744 Å, I 100, (4 0 1); d = 2.735 Å, I 57, (3 2 1); d = 2.609 Å, I 71, (2 2 2); d = 2.533 Å, I 33, (1 0 3); d = 2.197 Å, I 43, (0 4 0)

Structural model:
a = 11.7336 Å, b = 8.7889 Å, c = 7.7837 Å
α = 90.00°, β = 90.00°, γ = 90.00°
Space group Pnma (No. 62)
Unique sites:
1 Ce 0.0037 0.2500 0.0015
2 Ce 0.0657 0.0462 0.7115
3 Ce 0.2001 0.7500 0.3736
4 Ce 0.2127 0.2500 0.3453
5 Ge 0.1760 0.5069 0.0802
6 Rh 0.0229 0.7500 0.6005